K3Mo10O30: simulated XRD peak list (Cu Kα, 1.54184 Å), based on a structure optimized by DFT (GGA+U).
Intensities are scaled so that the largest is 100.

Crystal structure
Cell lengths 19.067, 7.687, 10.255 Å; angles 90.00, 119.35, 90.00 degrees
Space group C2/m (No. 12)
Unique sites:
K (0.000, 0.000, 0.000) [2 per cell]
K (0.180, 0.500, 0.228) [4 per cell]
Mo (0.078, 0.245, 0.460) [8 per cell]
Mo (0.139, 0.251, 0.845) [8 per cell]
Mo (0.224, 0.500, 0.672) [4 per cell]
O (0.040, 0.256, 0.644) [8 per cell]
O (0.077, 0.000, 0.486) [4 per cell]
O (0.088, 0.500, 0.494) [4 per cell]
O (0.092, 0.281, 0.949) [8 per cell]
O (0.096, 0.245, 0.311) [8 per cell]
O (0.141, 0.000, 0.830) [4 per cell]
O (0.156, 0.500, 0.812) [4 per cell]
O (0.184, 0.000, 0.166) [4 per cell]
O (0.185, 0.257, 0.661) [8 per cell]
O (0.247, 0.500, 0.528) [4 per cell]
O (0.250, 0.250, 0.000) [4 per cell]

The 10 most intense peaks (2θ from 10° to 90°), by angle:
| 2θ (°) | Rel. int. | hkl |
| --- | --- | --- |
| 10.39 | 100 | 2 0 -1 |
| 23.14 | 22 | 0 2 0 |
| 25.43 | 45 | 2 2 -1 |
| 26.92 | 86 | 4 0 -3 |
| 28.68 | 24 | 6 0 -1 |
| 29.05 | 27 | 2 2 -2 |
| 31.71 | 27 | 4 2 0 |
| 37.32 | 20 | 6 0 -4 |
| 47.30 | 23 | 0 4 0 |
| 55.26 | 21 | 4 4 -3 |